Structure and simulated X-ray diffraction stick pattern of Cu17Pb (a DFT-relaxed cell (GGA-PBE, OQMD); Cu Kα (λ = 1.5418 Å)).

Cell and atoms:
```
data_Cu17Pb
_space_group_name_H-M_alt 'P -3 m 1'
_space_group_IT_number 164
_space_group_name_Hall '-P 3 2"'
_cell_length_a 5.0940
_cell_length_b 5.0940
_cell_length_c 31.5149
_cell_angle_alpha 90.00
_cell_angle_beta 90.00
_cell_angle_gamma 120.00
loop_
_atom_site_label
_atom_site_fract_x
_atom_site_fract_y
_atom_site_fract_z
_atom_site_occupancy
Cu1 0.0000 0.0000 0.0000 1
Cu2 0.0000 0.0000 0.1975 1
Cu3 0.0000 0.5000 0.0000 1
Cu4 0.0041 0.5021 0.1982 1
Cu5 0.1666 0.3331 0.7369 1
Cu6 0.1666 0.3332 0.9341 1
Cu7 0.1668 0.3335 0.1318 1
Cu8 0.3333 0.6667 0.0658 1
Cu9 0.3333 0.6667 0.8676 1
Pb1 0.3333 0.6667 0.2975 1
```

Most intense lines, 2θ from 10° to 80°, by angle:
hkl 0 0 4, d 7.879, 11.23°, I = 18.7
hkl 2 0 4, d 2.124, 42.56°, I = 43.4
hkl 0 0 15, d 2.101, 43.05°, I = 18.6
hkl 2 0 5, d 2.082, 43.47°, I = 100.0
hkl 2 0 6, d 2.034, 44.55°, I = 17.9
hkl 0 2 9, d 1.866, 48.80°, I = 23.9
hkl 0 2 10, d 1.807, 50.50°, I = 44.6
hkl 2 2 0, d 1.273, 74.53°, I = 30.9

---

Structure and simulated X-ray diffraction stick pattern of ZnFe (a DFT-relaxed cell (GGA-PBE, OQMD); Cu Kα (λ = 1.5418 Å)).

Cell and atoms:
```
data_ZnFe
_space_group_name_H-M_alt 'P b c m'
_space_group_IT_number 57
_space_group_name_Hall '-P 2c 2b'
_cell_length_a 5.347
_cell_length_b 4.438
_cell_length_c 4.250
_cell_angle_alpha 90.00
_cell_angle_beta 90.00
_cell_angle_gamma 90.00
loop_
_atom_site_label
_atom_site_fract_x
_atom_site_fract_y
_atom_site_fract_z
_atom_site_occupancy
Zn1 0.131 0.080 0.250 1
Fe1 0.393 0.591 0.250 1
```

Most intense lines, 2θ from 10° to 80°, by angle:
hkl 2 1 0, d 2.290, 39.34°, I = 25.9
hkl 0 2 0, d 2.219, 40.66°, I = 10.9
hkl 0 0 2, d 2.125, 42.54°, I = 41.0
hkl 2 1 1, d 2.016, 44.96°, I = 100.0
hkl 0 2 1, d 1.967, 46.15°, I = 48.8
hkl 2 1 2, d 1.558, 59.33°, I = 14.3
hkl 2 3 0, d 1.294, 73.11°, I = 14.1
hkl 2 1 3, d 1.205, 79.57°, I = 16.4